This entry pairs a crystal structure of Pm2PrF11 with its computed powder diffraction line list. Radiation: a wavelength of 1.5418 Å. Structure: a PBE-relaxed structure.
Intensities are scaled so that the largest is 100.

Crystal structure
```
Pm2PrF11
1.0
-4.341 5.265 5.892
4.341 -5.265 5.892
4.341 5.265 -5.892
Pm Pr F
4 2 22
Cartesian
1.390 1.998 0.000
5.731 3.267 0.000
-1.390 1.998 5.892
2.951 3.267 5.892
4.341 0.000 2.946
0.000 5.265 2.946
0.000 0.000 0.000
5.245 1.807 -1.669
6.122 -0.812 1.552
5.245 -1.807 4.223
3.402 -3.259 5.892
2.560 0.812 1.552
2.560 -0.812 4.340
3.402 3.259 0.000
5.245 1.807 1.669
1.781 6.077 -1.552
0.904 3.458 1.669
0.000 0.000 5.892
3.437 1.807 4.223
2.560 -0.812 7.445
-0.904 3.458 4.223
0.939 2.006 5.892
1.781 6.077 1.552
1.781 4.452 4.340
0.939 8.524 0.000
-0.904 7.072 1.669
-1.781 6.077 4.340
-0.904 3.458 7.562
```

Principal peaks in the range 2θ from 10° to 80°, by angle:
| Position (°2θ) | Rel. int. |
| --- | --- |
| 20.1 | 100 |
| 21.1 | 44 |
| 22.6 | 83 |
| 23.4 | 68 |
| 41.3 | 31 |
| 43.3 | 58 |